For PrDyHo4Se8, a GGA-PBE-relaxed structure gives the computed powder X-ray diffraction pattern in this record (λ = 1.5418 Å (Cu Kα)).
Neutral-atom scattering factors, no anomalous dispersion.

Unit cell a=8.4468 b=8.4468 c=20.7176 alpha=90.00 beta=90.00 gamma=120.00
Space group R3m (No. 160, hexagonal axes)
Asymmetric unit:
Pr: 0.0000 0.0000 0.0000 (multiplicity 3)
Dy: 0.0000 0.0000 0.6243 (multiplicity 3)
Ho: 0.0000 0.0000 0.2504 (multiplicity 3)
Ho: 0.0027 0.5013 0.1256 (multiplicity 9)
Se: 0.0000 0.0000 0.3823 (multiplicity 3)
Se: 0.0000 0.0000 0.8632 (multiplicity 3)
Se: 0.0306 0.5153 0.3797 (multiplicity 9)
Se: 0.1755 0.3509 0.2059 (multiplicity 9)

Peak list (8 most intense, 10° ≤ 2θ ≤ 90°, low angle first)
(hkl), Position (°2θ), Rel. int.
1 0 4, 21.03, 26
0 2 1, 24.71, 96
0 2 4, 29.91, 51
0 2 7, 39.17, 53
2 2 0, 42.80, 100
4 0 7, 59.40, 23
0 4 8, 62.14, 16
4 2 8, 78.39, 23

For Nd5Y3Er, a GGA-PBE-relaxed structure gives the computed powder X-ray diffraction pattern in this record (λ = 1.5418 Å (Cu Kα)).
Neutral-atom scattering factors, no anomalous dispersion.

Unit cell a=20.181 b=6.312 c=11.783 alpha=90.00 beta=122.57 gamma=90.00
Space group C2/c (No. 15)
Asymmetric unit:
Nd: 0.000 0.091 0.250 (multiplicity 4)
Nd: 0.139 0.173 0.661 (multiplicity 8)
Nd: 0.180 0.319 0.333 (multiplicity 8)
Y: 0.000 0.500 0.000 (multiplicity 4)
Y: 0.175 0.276 0.026 (multiplicity 8)
Er: 0.000 0.399 0.750 (multiplicity 4)

Peak list (8 most intense, 10° ≤ 2θ ≤ 90°, low angle first)
(hkl), Position (°2θ), Rel. int.
6 0 -2, 26.51, 53
1 1 -3, 28.32, 75
5 1 -3, 29.24, 72
2 2 -1, 29.85, 70
2 2 0, 30.21, 38
6 0 0, 31.58, 100
1 1 3, 33.40, 54
4 2 -1, 33.57, 40

For Tm6ScIn3, a GGA-PBE-relaxed structure gives the computed powder X-ray diffraction pattern in this record (λ = 1.5418 Å (Cu Kα)).
Neutral-atom scattering factors, no anomalous dispersion.

Unit cell a=9.654 b=5.167 c=11.325 alpha=90.00 beta=105.43 gamma=90.00
Space group P2_1/m (No. 11)
Asymmetric unit:
Tm: 0.054 0.250 0.410 (multiplicity 2)
Tm: 0.158 0.750 0.183 (multiplicity 2)
Tm: 0.247 0.250 0.001 (multiplicity 2)
Tm: 0.325 0.750 0.797 (multiplicity 2)
Tm: 0.379 0.250 0.314 (multiplicity 2)
Tm: 0.392 0.250 0.614 (multiplicity 2)
Sc: 0.461 0.750 0.096 (multiplicity 2)
In: 0.036 0.750 0.891 (multiplicity 2)
In: 0.120 0.250 0.711 (multiplicity 2)
In: 0.281 0.750 0.471 (multiplicity 2)

Peak list (8 most intense, 10° ≤ 2θ ≤ 90°, low angle first)
(hkl), Position (°2θ), Rel. int.
3 1 -1, 32.79, 83
2 0 -4, 33.35, 39
1 1 3, 33.56, 100
0 2 0, 34.72, 48
4 0 2, 46.31, 15
2 2 -4, 48.91, 27
2 0 6, 59.19, 22
1 3 3, 61.51, 19